The following is a calculated X-ray powder pattern of Nd2MoO6. It was derived from a structure optimized by DFT (GGA+U), using CuKα.
Intensities are scaled so that the largest is 100.

The 8 most intense peaks (10 to 90 degrees two-theta), low angle first:
- 27.63°, I = 100
- 31.19°, I = 24
- 44.68°, I = 17
- 46.49°, I = 30
- 53.35°, I = 30
- 56.51°, I = 11
- 57.05°, I = 9
- 74.76°, I = 11

Crystal structure
Cell lengths 5.736, 5.736, 32.008 Å; angles 90.00, 90.00, 90.00 degrees
Space group I4_1/acd (No. 142, origin choice 2)
Asymmetric unit:
Nd (0.000, 0.250, 0.038) (multiplicity 16)
Mo (0.000, 0.250, 0.375) (multiplicity 8)
O (0.169, 0.076, 0.339) (multiplicity 32)
O (0.244, 0.000, 0.750) (multiplicity 16)